Structure and theoretical powder diffraction line list of DyFe4F12 (a DFT-relaxed cell (GGA+U, Alexandria); CuKα).
Peak positions follow from Bragg's law for the DFT cell and can differ from measured ones.

Largest 8 diffraction maxima, in order of falling intensity, 10 to 90 degrees two-theta:
| h k l | 2θ/deg | I_rel |
| --- | --- | --- |
| 1 0 1 | 15.89 | 100 |
| 2 0 2 | 32.10 | 62 |
| 1 1 0 | 15.40 | 61 |
| 2 1 1 | 27.13 | 40 |
| 4 0 0 | 44.54 | 37 |
| 4 2 2 | 55.96 | 31 |
| 2 2 0 | 31.09 | 29 |
| 2 1 3 | 43.30 | 28 |

Crystal structure
Lattice parameters (Å, degrees): 8.1365 8.1365 7.6570 90.00 90.00 90.00
Space group I4/mmm (No. 139)
Unique sites:
1 Dy 0.0000 0.0000 0.0000 (multiplicity 2)
2 Fe 0.2500 0.2500 0.2500 (multiplicity 8)
3 F 0.0000 0.2275 0.1813 (multiplicity 16)
4 F 0.2070 0.2070 0.5000 (multiplicity 8)